Mg16Al12O: computed XRD peak list (λ = 1.5418 Å (Cu Kα)), based on a cell relaxed with GGA-PBE.
Intensities are scaled so that the largest is 100.

Principal peaks in the range 2θ from 10° to 80°, sorted by position:
- 2θ 31.59, d 2.832, intensity 29.4
- 2θ 33.83, d 2.649, intensity 47.6
- 2θ 35.95, d 2.498, intensity 69.6
- 2θ 39.90, d 2.259, intensity 100.0
- 2θ 43.54, d 2.078, intensity 47.4
- 2θ 61.91, d 1.499, intensity 22.1
- 2θ 64.63, d 1.442, intensity 21.1
- 2θ 65.96, d 1.416, intensity 11.6
- 2θ 67.28, d 1.392, intensity 9.7
- 2θ 69.89, d 1.346, intensity 22.3
- 2θ 76.23, d 1.249, intensity 14.6
- 2θ 77.48, d 1.232, intensity 9.8

Cell and atoms:
```
data_Mg16Al12O
_chemical_formula_sum 'Mg32 Al24 O2'
_space_group_name_H-M_alt 'I -4 3 m'
_space_group_IT_number 217
_space_group_name_Hall 'I -4 2 3'
_cell_length_a 10.5979
_cell_length_b 10.5979
_cell_length_c 10.5979
_cell_angle_alpha 90.00
_cell_angle_beta 90.00
_cell_angle_gamma 90.00
loop_
_atom_site_label
_atom_site_type_symbol
_atom_site_fract_x
_atom_site_fract_y
_atom_site_fract_z
_atom_site_occupancy
Mg1 Mg 0.0612 0.3617 0.6383 1
Mg2 Mg 0.1083 0.1083 0.1083 1
Al1 Al 0.0984 0.0984 0.7099 1
O1 O 0.0000 0.0000 0.0000 1
```

---

MgAl2P3O12: computed XRD peak list (λ = 1.5418 Å (Cu Kα)), based on a cell relaxed with GGA-PBE.
Intensities are scaled so that the largest is 100.

Principal peaks in the range 2θ from 10° to 80°, sorted by position:
- 2θ 13.32, d 6.646, intensity 21.9
- 2θ 13.52, d 6.548, intensity 100.0
- 2θ 19.03, d 4.665, intensity 10.7
- 2θ 19.31, d 4.596, intensity 4.8
- 2θ 23.30, d 3.818, intensity 16.8
- 2θ 23.53, d 3.781, intensity 25.7
- 2θ 23.65, d 3.762, intensity 8.3
- 2θ 27.24, d 3.274, intensity 10.6
- 2θ 30.38, d 2.943, intensity 6.0
- 2θ 33.27, d 2.693, intensity 7.5
- 2θ 33.61, d 2.667, intensity 7.3
- 2θ 50.24, d 1.816, intensity 5.5

Cell and atoms:
```
data_MgAl2P3O12
_chemical_formula_sum 'Mg4 Al8 P12 O48'
_space_group_name_H-M_alt 'C 1 c 1'
_space_group_IT_number 9
_space_group_name_Hall 'C -2yc'
_cell_length_a 13.2918
_cell_length_b 13.0975
_cell_length_c 9.1925
_cell_angle_alpha 90.00
_cell_angle_beta 90.01
_cell_angle_gamma 90.00
loop_
_atom_site_label
_atom_site_type_symbol
_atom_site_fract_x
_atom_site_fract_y
_atom_site_fract_z
_atom_site_occupancy
Mg1 Mg 0.0000 0.1271 0.0000 1
Al1 Al 0.1277 0.4999 0.2500 1
Al2 Al 0.2602 0.1265 0.5001 1
P1 P 0.0040 0.3809 0.9994 1
P2 P 0.1404 0.0005 0.2499 1
P3 P 0.2483 0.3742 0.5005 1
O1 O 0.0291 0.2686 0.9927 1
O2 O 0.0449 0.4346 0.8631 1
O3 O 0.0507 0.4276 0.1370 1
O4 O 0.0685 0.0664 0.8372 1
O5 O 0.0756 0.0742 0.1620 1
O6 O 0.1953 0.4158 0.6382 1
O7 O 0.2015 0.4211 0.3615 1
O8 O 0.2058 0.0683 0.6523 1
O9 O 0.2117 0.0625 0.3483 1
O10 O 0.2309 0.2571 0.4950 1
O11 O 0.3593 0.3995 0.5068 1
O12 O 0.3891 0.1021 0.5054 1
```

---

MgAlSbO4: computed XRD peak list (λ = 1.5418 Å (Cu Kα)), based on a cell relaxed with GGA-PBE.
Intensities are scaled so that the largest is 100.

Principal peaks in the range 2θ from 10° to 80°, sorted by position:
- 2θ 16.23, d 5.462, intensity 95.0
- 2θ 20.20, d 4.396, intensity 68.8
- 2θ 25.56, d 3.485, intensity 100.0
- 2θ 29.53, d 3.025, intensity 26.5
- 2θ 33.16, d 2.702, intensity 43.1
- 2θ 33.88, d 2.646, intensity 57.7
- 2θ 36.04, d 2.492, intensity 59.4
- 2θ 40.15, d 2.246, intensity 26.3
- 2θ 44.71, d 2.027, intensity 39.5
- 2θ 44.99, d 2.015, intensity 50.2
- 2θ 50.62, d 1.803, intensity 38.0
- 2θ 59.24, d 1.560, intensity 32.8

Cell and atoms:
```
data_MgAlSbO4
_chemical_formula_sum 'Mg2 Al2 Sb2 O8'
_space_group_name_H-M_alt 'A m m 2'
_space_group_IT_number 38
_space_group_name_Hall 'A 2 -2'
_cell_length_a 3.0245
_cell_length_b 6.9693
_cell_length_c 8.7924
_cell_angle_alpha 90.00
_cell_angle_beta 90.00
_cell_angle_gamma 90.00
loop_
_atom_site_label
_atom_site_type_symbol
_atom_site_fract_x
_atom_site_fract_y
_atom_site_fract_z
_atom_site_occupancy
Mg1 Mg 0.0000 0.0000 0.0000 1
Al1 Al 0.5000 0.0000 0.7325 1
Sb1 Sb 0.0000 0.0000 0.3444 1
O1 O 0.0000 0.1662 0.8051 1
O2 O 0.5000 0.0000 0.1333 1
O3 O 0.5000 0.0000 0.5312 1
```